# 1
Computed powder X-ray diffraction pattern
Compound: LiVP2O7
Radiation: λ = 1.5418 Å (Cu Kα)
Structure: a crystal structure in the Materials Project, relaxed with PBE+U
Kinematic intensities with the Lorentz-polarization factor, no thermal factor.

Cell and atoms:
Lattice parameters (Å, degrees): 7.189 8.110 9.611 90.00 110.81 90.00
Space group P2_1/c (No. 14)
Inequivalent atoms, fractional coordinates:
Li 0.199 0.028 0.223
V 0.239 0.005 0.751
P 0.169 0.710 0.950
P 0.414 0.238 0.045
O 0.043 0.579 0.842
O 0.113 0.613 0.393
O 0.188 0.695 0.113
O 0.295 0.139 0.595
O 0.313 0.208 0.878
O 0.380 0.665 0.934
O 0.468 0.081 0.142

Peak list (8 most intense, 15 to 90 degrees two-theta, in order of falling intensity)
h k l, 2theta, I/Imax
1 1 -1, 17.3, 1000
0 2 2, 29.7, 933
2 1 0, 28.8, 531
0 1 2, 22.6, 378
2 1 -2, 29.1, 307
1 1 1, 22.0, 268
1 1 -3, 30.1, 204
2 2 4, 61.6, 168

=====

# 2
Computed powder X-ray diffraction pattern
Compound: Li2VP4O12
Radiation: λ = 1.5418 Å (Cu Kα)
Structure: a crystal structure in the Materials Project, relaxed with PBE+U
Kinematic intensities with the Lorentz-polarization factor, no thermal factor.

Cell and atoms:
Lattice parameters (Å, degrees): 9.308 14.539 7.663 90.00 102.60 90.00
Space group C2/c (No. 15)
Inequivalent atoms, fractional coordinates:
Li 0.159 0.157 0.244
V 0.000 0.370 0.750
P 0.102 0.174 0.624
P 0.136 0.428 0.173
O 0.000 0.132 0.750
O 0.000 0.389 0.250
O 0.029 0.162 0.431
O 0.137 0.469 0.667
O 0.146 0.373 0.010
O 0.155 0.269 0.689
O 0.233 0.101 0.661

Peak list (8 most intense, 15 to 90 degrees two-theta, in order of falling intensity)
h k l, 2theta, I/Imax
2 2 -1, 23.9, 1000
1 1 1, 18.0, 733
0 4 0, 24.5, 677
0 0 2, 23.8, 457
2 0 2, 34.2, 384
0 2 1, 17.0, 372
1 3 0, 20.8, 306
3 3 -1, 34.8, 305